CePm4Y3: calculated PXRD pattern (Cu Kα X-rays), based on a DFT-relaxed cell (PBE, Alexandria).

Most intense lines, 2θ = 10–90°, in order of rising 2θ:
| h k l | d_spacing | Rel. int. |
| --- | --- | --- |
| 1 1 -1 | 3.083 | 57 |
| 2 0 2 | 2.948 | 99 |
| 6 0 -2 | 2.938 | 100 |
| 8 0 0 | 2.837 | 87 |
| 5 1 0 | 2.746 | 39 |
| 3 1 1 | 2.709 | 96 |
| 0 2 0 | 1.723 | 41 |
| 6 2 -2 | 1.488 | 50 |

Cell and atoms:
Cell lengths 23.688, 3.449, 6.885 Å; angles 90.00, 106.67, 90.00 degrees
Space group C2/m (No. 12)
Asymmetric unit:
Ce  0.000  0.000  0.000
Pm  0.123  0.500  0.363
Pm  0.242  0.000  0.239
Y  0.000  0.500  0.500
Y  0.123  0.500  0.881

=====

Ce2PmZn4: calculated PXRD pattern (Cu Kα X-rays), based on a DFT-relaxed cell (PBE, Alexandria).

Most intense lines, 2θ = 10–90°, in order of rising 2θ:
| h k l | d_spacing | Rel. int. |
| --- | --- | --- |
| 1 1 -1 | 3.447 | 15 |
| 3 1 0 | 2.926 | 20 |
| 4 0 -1 | 2.650 | 54 |
| 3 1 1 | 2.583 | 100 |
| 1 1 -2 | 2.435 | 85 |
| 0 2 0 | 2.247 | 35 |
| 4 2 -1 | 1.714 | 29 |
| 5 1 -3 | 1.455 | 17 |

Cell and atoms:
Cell lengths 11.580, 4.494, 5.917 Å; angles 90.00, 92.84, 90.00 degrees
Space group C2/m (No. 12)
Asymmetric unit:
Ce  0.214  0.000  0.356
Pm  0.000  0.500  0.500
Zn  0.092  0.000  0.831
Zn  0.116  0.500  0.040

=====

CePm5Zn6: calculated PXRD pattern (Cu Kα X-rays), based on a DFT-relaxed cell (PBE, Alexandria).

Most intense lines, 2θ = 10–90°, in order of rising 2θ:
| h k l | d_spacing | Rel. int. |
| --- | --- | --- |
| 1 0 1 | 3.654 | 14 |
| 1 2 1 | 2.584 | 100 |
| 2 0 2 | 1.829 | 12 |
| 2 0 -4 | 1.824 | 6 |
| 0 4 3 | 1.493 | 18 |
| 3 2 0 | 1.491 | 18 |
| 2 4 2 | 1.293 | 7 |
| 1 6 1 | 1.157 | 5 |

Cell and atoms:
Cell lengths 5.160, 7.322, 8.163 Å; angles 90.00, 108.31, 90.00 degrees
Space group P2/m (No. 10)
Asymmetric unit:
Ce  0.000  0.000  0.000
Pm  0.000  0.500  0.000
Pm  0.334  0.500  0.669
Pm  0.335  0.000  0.670
Zn  0.167  0.250  0.333
Zn  0.500  0.250  0.000